1.
The following is a computed X-ray diffraction stick pattern of Sc4MnRu5. It was derived from a cell relaxed with PBE, using Cu Kα.
Lines closer than 0.1° are merged.

Structural model:
Lattice parameters (Å, degrees): 3.168 3.168 15.840 90.00 90.00 90.00
Space group P4/mmm (No. 123)
Unique sites:
Sc1 0.000 0.000 0.102 (multiplicity 2)
Sc2 0.000 0.000 0.304 (multiplicity 2)
Mn1 0.000 0.000 0.500 (multiplicity 1)
Ru1 0.500 0.500 0.000 (multiplicity 1)
Ru2 0.500 0.500 0.206 (multiplicity 2)
Ru3 0.500 0.500 0.412 (multiplicity 2)

Principal peaks in the range 2θ from 5° to 70°, in order of rising 2θ:
two_theta  I (rel.)
5.58  2.6
11.17  0.7
22.45  0.7
28.17  18.3
36.31  0.9
40.26  100.0
44.68  1.1
49.85  4.8
58.24  15.6
60.14  1.0
65.93  6.0
67.70  0.9

2.
The following is a computed X-ray diffraction stick pattern of Nb3Ru5Pt. It was derived from a cell relaxed with PBE, using Cu Kα.
Lines closer than 0.1° are merged.

Structural model:
Lattice parameters (Å, degrees): 7.323 7.323 11.242 90.00 90.00 90.00
Space group I4/mcm (No. 140)
Unique sites:
Nb1 0.000 0.000 0.250 (multiplicity 4)
Nb2 0.119 0.381 0.000 (multiplicity 8)
Ru1 0.000 0.000 0.000 (multiplicity 4)
Ru2 0.209 0.291 0.363 (multiplicity 16)
Pt1 0.000 0.500 0.250 (multiplicity 4)

Principal peaks in the range 2θ from 5° to 70°, in order of rising 2θ:
two_theta  I (rel.)
17.12  10.9
34.65  68.7
36.43  43.2
38.27  11.2
40.46  100.0
42.21  24.4
45.38  15.1
52.14  9.7
52.57  13.7
57.42  9.2
63.91  9.5
66.03  25.7

3.
The following is a computed X-ray diffraction stick pattern of Ca4SbSeN. It was derived from a cell relaxed with PBE, using Cu Kα.
Lines closer than 0.1° are merged.

Structural model:
Lattice parameters (Å, degrees): 6.706 15.617 6.726 90.00 90.00 90.00
Space group Cmcm (No. 63)
Unique sites:
Ca1 0.000 0.090 0.250 (multiplicity 4)
Ca2 0.000 0.407 0.250 (multiplicity 4)
Ca3 0.250 0.250 0.000 (multiplicity 8)
Sb1 0.000 0.394 0.750 (multiplicity 4)
Se1 0.000 0.111 0.750 (multiplicity 4)
N1 0.000 0.247 0.250 (multiplicity 4)

Principal peaks in the range 2θ from 5° to 70°, in order of rising 2θ:
two_theta  I (rel.)
19.54  18.6
22.78  15.5
25.39  29.0
26.54  51.3
28.94  39.1
34.43  33.3
35.25  100.0
37.89  62.8
52.14  27.6
65.97  15.4
66.67  14.5
66.79  14.4

4.
The following is a computed X-ray diffraction stick pattern of Mg15Tl4Cd. It was derived from a cell relaxed with PBE, using Cu Kα.
Lines closer than 0.1° are merged.

Structural model:
Lattice parameters (Å, degrees): 4.549 4.549 22.155 90.00 90.00 90.00
Space group P4/mmm (No. 123)
Unique sites:
Mg1 0.000 0.000 0.000 (multiplicity 1)
Mg2 0.000 0.000 0.197 (multiplicity 2)
Mg3 0.000 0.000 0.399 (multiplicity 2)
Mg4 0.000 0.500 0.097 (multiplicity 4)
Mg5 0.000 0.500 0.298 (multiplicity 4)
Mg6 0.000 0.500 0.500 (multiplicity 2)
Tl1 0.500 0.500 0.198 (multiplicity 2)
Tl2 0.500 0.500 0.399 (multiplicity 2)
Cd1 0.500 0.500 0.000 (multiplicity 1)

Principal peaks in the range 2θ from 5° to 70°, in order of rising 2θ:
two_theta  I (rel.)
19.51  72.9
20.04  34.2
27.73  31.6
28.11  61.5
34.45  100.0
39.63  34.0
44.54  18.0
44.79  18.1
45.54  16.7
49.29  27.1
58.12  21.8
68.59  26.7

5.
The following is a computed X-ray diffraction stick pattern of SrNi2Mo. It was derived from a cell relaxed with PBE, using Cu Kα.
Lines closer than 0.1° are merged.

Structural model:
Lattice parameters (Å, degrees): 4.1876 4.1876 16.3988 90.00 90.00 120.00
Space group R-3m (No. 166, hexagonal axes)
Unique sites:
Sr1 0.0000 0.0000 0.0000 (multiplicity 3)
Ni1 0.0000 0.0000 0.1903 (multiplicity 6)
Mo1 0.0000 0.0000 0.5000 (multiplicity 3)

Principal peaks in the range 2θ from 5° to 70°, in order of rising 2θ:
two_theta  I (rel.)
16.22  69.2
25.15  6.2
26.88  30.0
32.77  52.5
32.98  82.3
36.95  20.8
43.21  100.0
46.44  25.6
55.27  67.4
55.41  18.0
58.13  5.2
62.12  27.9

6.
The following is a computed X-ray diffraction stick pattern of PaAl2Ge2. It was derived from a cell relaxed with PBE, using Cu Kα.
Lines closer than 0.1° are merged.

Structural model:
Lattice parameters (Å, degrees): 4.079 23.135 4.084 90.00 90.00 90.00
Space group Cmcm (No. 63)
Unique sites:
Pa1 0.000 0.151 0.250 (multiplicity 4)
Al1 0.000 0.042 0.750 (multiplicity 4)
Al2 0.000 0.457 0.750 (multiplicity 4)
Ge1 0.000 0.249 0.750 (multiplicity 4)
Ge2 0.000 0.369 0.250 (multiplicity 4)

Principal peaks in the range 2θ from 5° to 70°, in order of rising 2θ:
two_theta  I (rel.)
7.64  56.7
15.32  26.0
23.09  24.9
24.69  19.4
26.72  10.3
31.23  19.6
33.14  16.3
36.70  100.0
38.93  17.5
44.39  31.4
60.48  22.6
64.58  11.0

7.
The following is a computed X-ray diffraction stick pattern of AcUPdS4. It was derived from a cell relaxed with PBE, using Cu Kα.
Lines closer than 0.1° are merged.

Structural model:
Lattice parameters (Å, degrees): 6.564 6.059 8.197 90.00 108.22 90.00
Space group P2_1/m (No. 11)
Unique sites:
Ac1 0.248 0.250 0.057 (multiplicity 2)
U1 0.240 0.250 0.557 (multiplicity 2)
Pd1 0.230 0.750 0.315 (multiplicity 2)
S1 0.040 0.522 0.728 (multiplicity 4)
S2 0.443 0.750 0.127 (multiplicity 2)
S3 0.457 0.750 0.603 (multiplicity 2)

Principal peaks in the range 2θ from 5° to 70°, in order of rising 2θ:
two_theta  I (rel.)
20.44  72.4
27.22  75.2
28.63  31.5
29.48  48.4
30.63  29.7
34.10  100.0
37.62  31.8
41.57  38.3
44.19  22.4
45.11  27.3
55.32  23.9
62.28  22.2

8.
The following is a computed X-ray diffraction stick pattern of LaDy4Rh2. It was derived from a cell relaxed with PBE, using Cu Kα.
Lines closer than 0.1° are merged.

Structural model:
Lattice parameters (Å, degrees): 7.038 6.620 9.068 90.00 112.66 90.00
Space group P2_1/m (No. 11)
Unique sites:
La1 0.039 0.250 0.302 (multiplicity 2)
Dy1 0.252 0.250 0.712 (multiplicity 2)
Dy2 0.281 0.001 0.059 (multiplicity 4)
Dy3 0.340 0.750 0.497 (multiplicity 2)
Rh1 0.040 0.750 0.167 (multiplicity 2)
Rh2 0.368 0.750 0.828 (multiplicity 2)

Principal peaks in the range 2θ from 5° to 70°, in order of rising 2θ:
two_theta  I (rel.)
10.57  42.5
27.49  32.1
28.73  34.2
29.01  61.5
29.56  76.8
30.70  44.0
32.56  100.0
33.97  61.5
34.55  39.1
37.30  65.6
41.76  40.5
48.73  33.1

9.
The following is a computed X-ray diffraction stick pattern of Ta5Mo2. It was derived from a cell relaxed with PBE, using Cu Kα.
Lines closer than 0.1° are merged.

Structural model:
Lattice parameters (Å, degrees): 3.253 4.677 32.249 90.00 90.00 90.00
Space group Fmmm (No. 69)
Unique sites:
Ta1 0.000 0.000 0.000 (multiplicity 4)
Ta2 0.000 0.000 0.148 (multiplicity 8)
Ta3 0.000 0.000 0.426 (multiplicity 8)
Mo1 0.000 0.000 0.283 (multiplicity 8)

Principal peaks in the range 2θ from 5° to 70°, in order of rising 2θ:
two_theta  I (rel.)
5.48  20.1
10.97  3.3
33.34  3.8
36.41  5.3
38.49  26.3
38.98  100.0
39.11  23.1
51.82  2.3
56.04  16.3
56.58  8.6
65.12  4.1
69.96  17.9

10.
The following is a computed X-ray diffraction stick pattern of TbCeMg6. It was derived from a cell relaxed with PBE, using Cu Kα.
Lines closer than 0.1° are merged.

Structural model:
Lattice parameters (Å, degrees): 6.7282 6.7282 5.2055 90.00 90.00 120.00
Space group P-6m2 (No. 187)
Unique sites:
Tb1 0.0000 0.0000 0.0000 (multiplicity 1)
Ce1 0.3333 0.6667 0.5000 (multiplicity 1)
Mg1 0.3391 0.1695 0.5000 (multiplicity 3)
Mg2 0.5033 0.0066 0.0000 (multiplicity 3)

Principal peaks in the range 2θ from 5° to 70°, in order of rising 2θ:
two_theta  I (rel.)
15.21  35.9
22.91  90.3
26.50  41.4
30.69  24.4
34.46  23.8
35.30  100.0
43.99  21.4
44.68  29.7
46.79  24.0
54.56  25.2
62.28  18.8
66.14  20.7

11.
The following is a computed X-ray diffraction stick pattern of PaCd2Pt8. It was derived from a cell relaxed with PBE, using Cu Kα.
Lines closer than 0.1° are merged.

Structural model:
Lattice parameters (Å, degrees): 4.098 5.111 10.335 94.88 101.39 113.59
Space group P-1 (No. 2)
Unique sites:
Pa1 0.000 0.000 0.000 (multiplicity 1)
Cd1 0.457 0.551 0.363 (multiplicity 2)
Pt1 0.093 0.913 0.274 (multiplicity 2)
Pt2 0.187 0.825 0.548 (multiplicity 2)
Pt3 0.276 0.733 0.818 (multiplicity 2)
Pt4 0.365 0.640 0.091 (multiplicity 2)

Principal peaks in the range 2θ from 5° to 70°, in order of rising 2θ:
two_theta  I (rel.)
8.88  5.9
19.28  3.3
24.52  1.8
37.53  100.0
38.28  95.0
43.55  33.1
44.20  31.8
44.40  31.3
62.93  11.1
63.79  21.5
64.45  20.8
64.96  10.2